[1]
Structure and simulated X-ray powder pattern of La3PrN2 (a cell relaxed with GGA-PBE; Cu Kα (λ = 1.5418 Å)).

Structural model:
```
data_La3PrN2
_symmetry_space_group_name_H-M 'P 1'
_symmetry_Int_Tables_number 1
_cell_length_a 6.386
_cell_length_b 12.282
_cell_length_c 3.684
_cell_angle_alpha 90.00
_cell_angle_beta 90.00
_cell_angle_gamma 90.00
loop_
_symmetry_equiv_pos_as_xyz
'x,y,z'
loop_
_atom_site_label
_atom_site_type_symbol
_atom_site_fract_x
_atom_site_fract_y
_atom_site_fract_z
_atom_site_occupancy
La1 La 0.000 0.000 0.000 1
La2 La 0.150 0.265 0.500 1
La3 La 0.350 0.765 0.000 1
La4 La 0.500 0.500 0.500 1
La5 La 0.650 0.235 0.000 1
La6 La 0.850 0.735 0.500 1
Pr1 Pr 0.000 0.500 0.000 1
Pr2 Pr 0.500 0.000 0.500 1
N1 N 0.169 0.869 0.500 1
N2 N 0.331 0.369 0.000 1
N3 N 0.669 0.631 0.000 1
N4 N 0.831 0.131 0.500 1
```

Principal peaks in the range 10 to 90 degrees two-theta, by angle:
- 2θ = 28.90°, I 34
- 2θ = 29.08°, I 31
- 2θ = 31.59°, I 100
- 2θ = 35.67°, I 24
- 2θ = 40.77°, I 8
- 2θ = 46.65°, I 11
- 2θ = 49.46°, I 27
- 2θ = 53.15°, I 21
- 2θ = 58.40°, I 26
- 2θ = 59.87°, I 16
- 2θ = 81.27°, I 13
- 2θ = 81.62°, I 9


[2]
Structure and simulated X-ray powder pattern of Hf3ScAl (a cell relaxed with GGA-PBE; Cu Kα (λ = 1.5418 Å)).

Structural model:
```
data_Hf3ScAl
_symmetry_space_group_name_H-M 'P 1'
_symmetry_Int_Tables_number 1
_cell_length_a 9.594
_cell_length_b 5.015
_cell_length_c 5.015
_cell_angle_alpha 111.99
_cell_angle_beta 90.00
_cell_angle_gamma 90.00
loop_
_symmetry_equiv_pos_as_xyz
'x,y,z'
loop_
_atom_site_label
_atom_site_type_symbol
_atom_site_fract_x
_atom_site_fract_y
_atom_site_fract_z
_atom_site_occupancy
Hf1 Hf 0.065 0.166 0.834 1
Hf2 Hf 0.250 0.653 0.710 1
Hf3 Hf 0.435 0.166 0.834 1
Hf4 Hf 0.565 0.834 0.166 1
Hf5 Hf 0.750 0.710 0.653 1
Hf6 Hf 0.935 0.834 0.166 1
Sc1 Sc 0.250 0.011 0.313 1
Sc2 Sc 0.750 0.313 0.011 1
Al1 Al 0.000 0.446 0.446 1
Al2 Al 0.500 0.446 0.446 1
```

Principal peaks in the range 10 to 90 degrees two-theta, by angle:
- 2θ = 19.09°, I 49
- 2θ = 21.23°, I 41
- 2θ = 26.70°, I 80
- 2θ = 28.41°, I 45
- 2θ = 34.03°, I 84
- 2θ = 35.41°, I 67
- 2θ = 36.15°, I 100
- 2θ = 37.14°, I 74
- 2θ = 38.73°, I 25
- 2θ = 40.90°, I 39
- 2θ = 62.78°, I 41
- 2θ = 63.03°, I 32


[3]
Structure and simulated X-ray powder pattern of PtClF3 (a cell relaxed with GGA-PBE; Cu Kα (λ = 1.5418 Å)).

Structural model:
```
data_PtClF3
_symmetry_space_group_name_H-M 'P 1'
_symmetry_Int_Tables_number 1
_cell_length_a 5.789
_cell_length_b 5.789
_cell_length_c 9.879
_cell_angle_alpha 90.00
_cell_angle_beta 90.00
_cell_angle_gamma 90.00
loop_
_symmetry_equiv_pos_as_xyz
'x,y,z'
loop_
_atom_site_label
_atom_site_type_symbol
_atom_site_fract_x
_atom_site_fract_y
_atom_site_fract_z
_atom_site_occupancy
Pt1 Pt 0.159 0.668 0.000 1
Pt2 Pt 0.332 0.159 0.250 1
Pt3 Pt 0.668 0.841 0.750 1
Pt4 Pt 0.841 0.332 0.500 1
Cl1 Cl 0.164 0.379 0.618 1
Cl2 Cl 0.379 0.836 0.368 1
Cl3 Cl 0.621 0.164 0.868 1
Cl4 Cl 0.836 0.621 0.118 1
F1 F 0.001 0.176 0.342 1
F2 F 0.123 0.380 0.909 1
F3 F 0.176 0.999 0.092 1
F4 F 0.332 0.498 0.144 1
F5 F 0.380 0.877 0.659 1
F6 F 0.498 0.668 0.894 1
F7 F 0.502 0.332 0.394 1
F8 F 0.620 0.123 0.159 1
F9 F 0.668 0.502 0.644 1
F10 F 0.824 0.001 0.592 1
F11 F 0.877 0.620 0.409 1
F12 F 0.999 0.824 0.842 1
```

Principal peaks in the range 10 to 90 degrees two-theta, by angle:
- 2θ = 17.76°, I 100
- 2θ = 23.53°, I 38
- 2θ = 23.68°, I 43
- 2θ = 28.32°, I 47
- 2θ = 31.25°, I 33
- 2θ = 32.23°, I 40
- 2θ = 34.65°, I 17
- 2θ = 44.52°, I 21
- 2θ = 50.76°, I 42
- 2θ = 51.11°, I 32
- 2θ = 58.23°, I 13
- 2θ = 60.63°, I 12